# Cu3O2F2
Calculated XRD peak list, Cu Kα (weighted mean of Kα1 and Kα2). Input: the GGA-PBE geometry in the Materials Project.

Cell and atoms:
Unit cell a=5.5900 b=6.1097 c=5.2988 alpha=90.00 beta=115.97 gamma=90.00
Space group P2_1/c (No. 14)
One atom of each set of equivalent atoms:
Cu  0.0000  0.0000  0.0000
Cu  0.4623  0.1175  0.7492
O  0.3215  0.1261  0.0313
F  0.2233  0.6133  0.8800

Top 6 peaks for 10 to 90 degrees two-theta, low angle first:
| 2θ (°) | d/Å | I/Imax |
| --- | --- | --- |
| 17.65 | 5.026 | 60 |
| 23.68 | 3.757 | 54 |
| 33.86 | 2.647 | 58 |
| 34.89 | 2.572 | 100 |
| 35.46 | 2.531 | 60 |
| 43.14 | 2.097 | 71 |